Calculated powder diffractogram of Nd4Sm3Cd4 for Cu Kα (weighted mean of Kα1 and Kα2), from a cell relaxed with GGA-PBE.
Lines closer than 0.1° are merged.

Most intense lines, 2θ = 10–90°, most intense first:
two_theta  d [Å]  I (rel.)
30.8  2.906  100.0
29.9  2.991  53.1
33.2  2.700  50.8
39.6  2.277  33.7
36.6  2.453  29.8
27.9  3.198  23.1

```
Nd4Sm3Cd4
1.0
-2.6999 3.5130 8.9785
2.6999 -3.5130 8.9785
2.6999 3.5130 -8.9785
Nd Sm Cd
4 3 4
Direct
0.0561 0.8191 0.2370 Nd
0.4179 0.1809 0.2370 Nd
0.5821 0.8191 0.7630 Nd
0.9439 0.1809 0.7630 Nd
0.0000 0.5000 0.5000 Sm
0.4022 0.4022 0.0000 Sm
0.5978 0.5978 0.0000 Sm
0.1704 0.6704 0.5000 Cd
0.2913 0.0000 0.2913 Cd
0.7087 0.0000 0.7087 Cd
0.8296 0.3296 0.5000 Cd
```